(1)
For PrGa6Co3, a cell relaxed with PBE gives the calculated PXRD pattern in this record (λ = 1.5418 Å (Cu Kα)).
No peak broadening, texture or thermal motion is included.

Peak list (10 most intense, 2θ = 10–90°, in order of falling intensity)
- 2θ = 44.02°, d = 2.057 Å, intensity 100.0, (1 1 6)
- 2θ = 38.05°, d = 2.365 Å, intensity 97.0, (0 2 1)
- 2θ = 35.69°, d = 2.516 Å, intensity 66.8, (1 1 3)
- 2θ = 68.09°, d = 1.377 Å, intensity 51.9, (2 2 0)
- 2θ = 45.19°, d = 2.007 Å, intensity 38.5, (2 0 5)
- 2θ = 30.51°, d = 2.930 Å, intensity 35.4, (0 1 5)
- 2θ = 43.89°, d = 2.063 Å, intensity 35.3, (0 0 9)
- 2θ = 42.62°, d = 2.121 Å, intensity 33.0, (0 2 4)
- 2θ = 84.63°, d = 1.145 Å, intensity 29.3, (2 2 9)
- 2θ = 66.07°, d = 1.414 Å, intensity 28.6, (3 0 6)

Structure:
```
data_PrGa6Co3
_cell_length_a 5.5071
_cell_length_b 5.5071
_cell_length_c 18.5667
_cell_angle_alpha 90.00
_cell_angle_beta 90.00
_cell_angle_gamma 120.00
_space_group_name_H-M_alt 'R 3 m'
_space_group_IT_number 160
_space_group_name_Hall 'R 3 -2"'
loop_
_atom_site_label
_atom_site_type_symbol
_atom_site_fract_x
_atom_site_fract_y
_atom_site_fract_z
_atom_site_occupancy
Pr1 Pr 0.0000 0.0000 0.0000 1
Ga1 Ga 0.0115 0.5058 0.0988 1
Ga2 Ga 0.1678 0.3355 0.2317 1
Co1 Co 0.0000 0.0000 0.3324 1
Co2 Co 0.0000 0.0000 0.6700 1
Co3 Co 0.0000 0.0000 0.8569 1
```

---

(2)
For Fe2Pd7Rh2, a cell relaxed with PBE gives the calculated PXRD pattern in this record (λ = 1.5418 Å (Cu Kα)).
No peak broadening, texture or thermal motion is included.

Peak list (10 most intense, 2θ = 10–90°, in order of falling intensity)
- 2θ = 43.29°, d = 2.090 Å, intensity 100.0, (-1 2 1)
- 2θ = 41.23°, d = 2.189 Å, intensity 61.1, (2 -1 1)
- 2θ = 41.78°, d = 2.162 Å, intensity 59.0, (1 1 2)
- 2θ = 43.87°, d = 2.064 Å, intensity 37.7, (2 0 -2)
- 2θ = 40.61°, d = 2.222 Å, intensity 35.6, (0 1 -3)
- 2θ = 42.61°, d = 2.122 Å, intensity 35.6, (1 2 -1)
- 2θ = 39.92°, d = 2.258 Å, intensity 30.2, (0 0 3)
- 2θ = 36.50°, d = 2.462 Å, intensity 29.9, (0 2 -1)
- 2θ = 41.06°, d = 2.198 Å, intensity 27.9, (0 2 -2)
- 2θ = 41.60°, d = 2.171 Å, intensity 24.3, (0 2 1)

Structure:
```
data_Fe2Pd7Rh2
_cell_length_a 4.9351
_cell_length_b 5.0231
_cell_length_c 6.9190
_cell_angle_alpha 100.76
_cell_angle_beta 93.39
_cell_angle_gamma 96.16
_space_group_name_H-M_alt 'P -1'
_space_group_IT_number 2
loop_
_space_group_symop_operation_xyz
'x,y,z'
'-x,-y,-z'
loop_
_atom_site_label
_atom_site_type_symbol
_atom_site_fract_x
_atom_site_fract_y
_atom_site_fract_z
_atom_site_occupancy
Fe1 Fe 0.1144 0.3633 0.3532 1
Pd1 Pd 0.0000 0.5000 0.0000 1
Pd2 Pd 0.0166 0.8498 0.3274 1
Pd3 Pd 0.4090 0.8114 0.6157 1
Pd4 Pd 0.4939 0.3844 0.7961 1
Rh1 Rh 0.2603 0.0505 0.0319 1
```

---

(3)
For Ni4Ir5, a cell relaxed with PBE gives the calculated PXRD pattern in this record (λ = 1.5418 Å (Cu Kα)).
No peak broadening, texture or thermal motion is included.

Peak list (10 most intense, 2θ = 10–90°, in order of falling intensity)
- 2θ = 41.72°, d = 2.165 Å, intensity 100.0, (3 0 1)
- 2θ = 48.79°, d = 1.867 Å, intensity 31.8, (3 3 0)
- 2θ = 86.33°, d = 1.127 Å, intensity 24.9, (6 3 1)
- 2θ = 15.83°, d = 5.600 Å, intensity 21.4, (1 1 0)
- 2θ = 70.93°, d = 1.329 Å, intensity 20.6, (3 3 2)
- 2θ = 48.09°, d = 1.892 Å, intensity 16.6, (0 0 2)
- 2θ = 34.69°, d = 2.586 Å, intensity 14.2, (2 1 1)
- 2θ = 85.28°, d = 1.138 Å, intensity 12.8, (3 0 3)
- 2θ = 71.48°, d = 1.320 Å, intensity 10.1, (6 0 0)
- 2θ = 31.97°, d = 2.800 Å, intensity 4.7, (2 2 0)

Structure:
```
data_Ni4Ir5
_cell_length_a 7.9192
_cell_length_b 7.9192
_cell_length_c 3.7838
_cell_angle_alpha 90.00
_cell_angle_beta 90.00
_cell_angle_gamma 90.00
_space_group_name_H-M_alt 'I 4/m m m'
_space_group_IT_number 139
_space_group_name_Hall '-I 4 2'
loop_
_atom_site_label
_atom_site_type_symbol
_atom_site_fract_x
_atom_site_fract_y
_atom_site_fract_z
_atom_site_occupancy
Ni1 Ni 0.0000 0.3337 0.0000 1
Ir1 Ir 0.0000 0.0000 0.0000 1
Ir2 Ir 0.1680 0.1680 0.5000 1
```

---

(4)
For Al2Cd3Ag8, a cell relaxed with PBE gives the calculated PXRD pattern in this record (λ = 1.5418 Å (Cu Kα)).
No peak broadening, texture or thermal motion is included.

Peak list (10 most intense, 2θ = 10–90°, in order of falling intensity)
- 2θ = 39.56°, d = 2.278 Å, intensity 100.0, (2 1 1)
- 2θ = 37.99°, d = 2.368 Å, intensity 50.0, (1 1 -3)
- 2θ = 38.91°, d = 2.314 Å, intensity 46.8, (0 2 0)
- 2θ = 37.07°, d = 2.425 Å, intensity 25.9, (3 0 -2)
- 2θ = 33.33°, d = 2.689 Å, intensity 24.9, (2 1 0)
- 2θ = 31.01°, d = 2.884 Å, intensity 22.6, (2 1 -1)
- 2θ = 70.91°, d = 1.329 Å, intensity 17.7, (2 3 1)
- 2θ = 74.72°, d = 1.270 Å, intensity 16.5, (5 1 -5)
- 2θ = 54.83°, d = 1.674 Å, intensity 15.9, (3 2 -2)
- 2θ = 27.00°, d = 3.303 Å, intensity 12.6, (2 0 -2)

Structure:
```
data_Al2Cd3Ag8
_cell_length_a 7.3745
_cell_length_b 4.6288
_cell_length_c 8.2925
_cell_angle_alpha 90.00
_cell_angle_beta 116.37
_cell_angle_gamma 90.00
_space_group_name_H-M_alt 'P 1 2/m 1'
_space_group_IT_number 10
loop_
_space_group_symop_operation_xyz
'x,y,z'
'-x,-y,-z'
'-x,y,-z'
'x,-y,z'
loop_
_atom_site_label
_atom_site_type_symbol
_atom_site_fract_x
_atom_site_fract_y
_atom_site_fract_z
_atom_site_occupancy
Al1 Al 0.2254 0.0000 0.4490 1
Cd1 Cd 0.0000 0.0000 0.0000 1
Cd2 Cd 0.3031 0.5000 0.9995 1
Ag1 Ag 0.1303 0.5000 0.2600 1
Ag2 Ag 0.1779 0.0000 0.7570 1
Ag3 Ag 0.3213 0.5000 0.6419 1
Ag4 Ag 0.4210 0.0000 0.2416 1
```

---

(5)
For CeZn2GaPd2, a cell relaxed with PBE gives the calculated PXRD pattern in this record (λ = 1.5418 Å (Cu Kα)).
No peak broadening, texture or thermal motion is included.

Peak list (10 most intense, 2θ = 10–90°, in order of falling intensity)
- 2θ = 31.27°, d = 2.861 Å, intensity 100.0, (1 1 1)
- 2θ = 38.51°, d = 2.338 Å, intensity 89.0, (2 0 0)
- 2θ = 36.87°, d = 2.438 Å, intensity 77.5, (1 0 2)
- 2θ = 54.37°, d = 1.687 Å, intensity 49.2, (2 1 2)
- 2θ = 55.63°, d = 1.652 Å, intensity 42.5, (2 2 0)
- 2θ = 65.19°, d = 1.431 Å, intensity 28.5, (3 1 1)
- 2θ = 15.51°, d = 5.715 Å, intensity 28.3, (0 0 1)
- 2θ = 78.46°, d = 1.219 Å, intensity 20.9, (2 0 4)
- 2θ = 50.44°, d = 1.809 Å, intensity 20.6, (2 0 2)
- 2θ = 41.77°, d = 2.163 Å, intensity 18.1, (1 1 2)

Structure:
```
data_CeZn2GaPd2
_cell_length_a 4.6753
_cell_length_b 4.6753
_cell_length_c 5.7146
_cell_angle_alpha 90.00
_cell_angle_beta 90.00
_cell_angle_gamma 90.00
_space_group_name_H-M_alt 'P 4/m m m'
_space_group_IT_number 123
_space_group_name_Hall '-P 4 2'
loop_
_atom_site_label
_atom_site_type_symbol
_atom_site_fract_x
_atom_site_fract_y
_atom_site_fract_z
_atom_site_occupancy
Ce1 Ce 0.0000 0.0000 0.0000 1
Zn1 Zn 0.5000 0.5000 0.2423 1
Ga1 Ga 0.0000 0.0000 0.5000 1
Pd1 Pd 0.0000 0.5000 0.5000 1
```

---

(6)
For BaSmCuBO5, a cell relaxed with PBE gives the calculated PXRD pattern in this record (λ = 1.5418 Å (Cu Kα)).
No peak broadening, texture or thermal motion is included.

Peak list (10 most intense, 2θ = 10–90°, in order of falling intensity)
- 2θ = 32.82°, d = 2.729 Å, intensity 100.0, (1 1 2)
- 2θ = 32.41°, d = 2.762 Å, intensity 46.1, (2 0 0)
- 2θ = 58.07°, d = 1.588 Å, intensity 36.2, (3 1 2)
- 2θ = 22.76°, d = 3.906 Å, intensity 30.9, (1 1 0)
- 2θ = 40.31°, d = 2.237 Å, intensity 30.1, (2 0 2)
- 2θ = 46.49°, d = 1.953 Å, intensity 25.6, (2 2 0)
- 2θ = 58.84°, d = 1.569 Å, intensity 16.6, (2 0 4)
- 2θ = 23.32°, d = 3.814 Å, intensity 14.5, (0 0 2)
- 2θ = 11.60°, d = 7.629 Å, intensity 13.2, (0 0 1)
- 2θ = 68.80°, d = 1.365 Å, intensity 11.6, (2 2 4)

Structure:
```
data_BaSmCuBO5
_cell_length_a 5.5245
_cell_length_b 5.5245
_cell_length_c 7.6288
_cell_angle_alpha 90.00
_cell_angle_beta 90.00
_cell_angle_gamma 90.00
_space_group_name_H-M_alt 'P 4 b m'
_space_group_IT_number 100
loop_
_space_group_symop_operation_xyz
'x,y,z'
'-y,x,z'
'-x,-y,z'
'y,-x,z'
'-x+1/2,y+1/2,z'
'y+1/2,x+1/2,z'
'x+1/2,-y+1/2,z'
'-y+1/2,-x+1/2,z'
loop_
_atom_site_label
_atom_site_type_symbol
_atom_site_fract_x
_atom_site_fract_y
_atom_site_fract_z
_atom_site_occupancy
Ba1 Ba 0.0000 0.0000 0.0000 1
Sm1 Sm 0.0000 0.0000 0.5085 1
Cu1 Cu 0.0000 0.5000 0.7257 1
B1 B 0.0000 0.5000 0.2524 1
O1 O 0.0000 0.5000 0.0694 1
O2 O 0.1561 0.3439 0.3404 1
O3 O 0.2475 0.7475 0.7105 1
```

---

Repeat the first record exactly.
For PrGa6Co3, a cell relaxed with PBE gives the calculated PXRD pattern in this record (λ = 1.5418 Å (Cu Kα)).
No peak broadening, texture or thermal motion is included.

Peak list (10 most intense, 2θ = 10–90°, in order of falling intensity)
- 2θ = 44.02°, d = 2.057 Å, intensity 100.0, (1 1 6)
- 2θ = 38.05°, d = 2.365 Å, intensity 97.0, (0 2 1)
- 2θ = 35.69°, d = 2.516 Å, intensity 66.8, (1 1 3)
- 2θ = 68.09°, d = 1.377 Å, intensity 51.9, (2 2 0)
- 2θ = 45.19°, d = 2.007 Å, intensity 38.5, (2 0 5)
- 2θ = 30.51°, d = 2.930 Å, intensity 35.4, (0 1 5)
- 2θ = 43.89°, d = 2.063 Å, intensity 35.3, (0 0 9)
- 2θ = 42.62°, d = 2.121 Å, intensity 33.0, (0 2 4)
- 2θ = 84.63°, d = 1.145 Å, intensity 29.3, (2 2 9)
- 2θ = 66.07°, d = 1.414 Å, intensity 28.6, (3 0 6)

Structure:
```
data_PrGa6Co3
_cell_length_a 5.5071
_cell_length_b 5.5071
_cell_length_c 18.5667
_cell_angle_alpha 90.00
_cell_angle_beta 90.00
_cell_angle_gamma 120.00
_space_group_name_H-M_alt 'R 3 m'
_space_group_IT_number 160
_space_group_name_Hall 'R 3 -2"'
loop_
_atom_site_label
_atom_site_type_symbol
_atom_site_fract_x
_atom_site_fract_y
_atom_site_fract_z
_atom_site_occupancy
Pr1 Pr 0.0000 0.0000 0.0000 1
Ga1 Ga 0.0115 0.5058 0.0988 1
Ga2 Ga 0.1678 0.3355 0.2317 1
Co1 Co 0.0000 0.0000 0.3324 1
Co2 Co 0.0000 0.0000 0.6700 1
Co3 Co 0.0000 0.0000 0.8569 1
```